[1]
For Co, the PBE geometry in the Materials Project gives the simulated powder XRD pattern in this record (Cu Kα X-rays).
Kinematic intensities with the Lorentz-polarization factor, no thermal factor.

The 8 most intense peaks (10° ≤ 2θ ≤ 90°), sorted by position:
hkl, 2θ (°), I (rel.)
3 0 1, 40.85, 6
1 1 4, 43.92, 7
2 1 3, 45.06, 13
2 0 4, 46.00, 84
2 2 0, 46.20, 100
4 0 4, 67.24, 22
4 2 4, 85.47, 20
6 0 0, 85.61, 12

Atomic structure:
Unit cell a=7.8600 b=7.8600 c=9.6864 alpha=90.00 beta=90.00 gamma=120.00
Space group P6_3mc (No. 186)
One atom of each set of equivalent atoms:
Co 0.0000 0.0000 0.0000 (multiplicity 2)
Co 0.0000 0.0000 0.2474 (multiplicity 2)
Co 0.0018 0.5009 0.4923 (multiplicity 6)
Co 0.0292 0.5146 0.2424 (multiplicity 6)
Co 0.1624 0.3248 0.1219 (multiplicity 6)
Co 0.1632 0.3265 0.3736 (multiplicity 6)
Co 0.1755 0.3510 0.8739 (multiplicity 6)
Co 0.1886 0.3772 0.6233 (multiplicity 6)
Co 0.3333 0.6667 0.0744 (multiplicity 2)
Co 0.3333 0.6667 0.3853 (multiplicity 2)
Co 0.3333 0.6667 0.7797 (multiplicity 2)

[2]
For CrCo, the PBE geometry in the Materials Project gives the simulated powder XRD pattern in this record (Cu Kα X-rays).
Kinematic intensities with the Lorentz-polarization factor, no thermal factor.

The 4 most intense peaks (10° ≤ 2θ ≤ 90°), sorted by position:
hkl, 2θ (°), I (rel.)
1 0 0, 31.37, 1
1 1 0, 44.96, 100
2 0 0, 65.47, 15
2 1 1, 82.95, 28

Atomic structure:
Unit cell a=2.851 b=2.851 c=2.851 alpha=90.00 beta=90.00 gamma=90.00
Space group Pm-3m (No. 221)
One atom of each set of equivalent atoms:
Cr 0.000 0.000 0.000 (multiplicity 1)
Co 0.500 0.500 0.500 (multiplicity 1)

[3]
For Cr3Co, the PBE geometry in the Materials Project gives the simulated powder XRD pattern in this record (Cu Kα X-rays).
Kinematic intensities with the Lorentz-polarization factor, no thermal factor.

The 8 most intense peaks (10° ≤ 2θ ≤ 90°), sorted by position:
hkl, 2θ (°), I (rel.)
1 0 1, 29.85, 1
2 0 0, 41.01, 25
0 0 2, 44.37, 27
2 0 1, 46.90, 100
2 0 2, 62.00, 13
2 2 0, 74.70, 14
2 0 3, 83.51, 16
4 0 0, 88.94, 2

Atomic structure:
Unit cell a=5.0827 b=5.0827 c=4.0834 alpha=90.00 beta=90.00 gamma=120.00
Space group P6_3/mmc (No. 194)
One atom of each set of equivalent atoms:
Cr 0.1648 0.3296 0.2500 (multiplicity 6)
Co 0.3333 0.6667 0.7500 (multiplicity 2)

[4]
For CrCo3, the PBE geometry in the Materials Project gives the simulated powder XRD pattern in this record (Cu Kα X-rays).
Kinematic intensities with the Lorentz-polarization factor, no thermal factor.

The 6 most intense peaks (10° ≤ 2θ ≤ 90°), sorted by position:
hkl, 2θ (°), I (rel.)
2 0 0, 41.77, 25
0 0 2, 45.58, 26
2 0 1, 47.87, 100
2 0 2, 63.53, 13
2 2 0, 76.25, 15
2 0 3, 85.95, 16

Atomic structure:
Unit cell a=4.9946 b=4.9946 c=3.9801 alpha=90.00 beta=90.00 gamma=120.00
Space group P6_3/mmc (No. 194)
One atom of each set of equivalent atoms:
Cr 0.3333 0.6667 0.2500 (multiplicity 2)
Co 0.1657 0.3314 0.7500 (multiplicity 6)

Please write out number 4 again, unchanged.
For CrCo3, the PBE geometry in the Materials Project gives the simulated powder XRD pattern in this record (Cu Kα X-rays).
Kinematic intensities with the Lorentz-polarization factor, no thermal factor.

The 6 most intense peaks (10° ≤ 2θ ≤ 90°), sorted by position:
hkl, 2θ (°), I (rel.)
2 0 0, 41.77, 25
0 0 2, 45.58, 26
2 0 1, 47.87, 100
2 0 2, 63.53, 13
2 2 0, 76.25, 15
2 0 3, 85.95, 16

Atomic structure:
Unit cell a=4.9946 b=4.9946 c=3.9801 alpha=90.00 beta=90.00 gamma=120.00
Space group P6_3/mmc (No. 194)
One atom of each set of equivalent atoms:
Cr 0.3333 0.6667 0.2500 (multiplicity 2)
Co 0.1657 0.3314 0.7500 (multiplicity 6)